Simulated XRD peak list of K2CoPCO7 for Cu Kα X-rays, from a cell relaxed with PBE+U.
Intensities are scaled so that the largest is 100.

Cell and atoms:
```
data_K2CoPCO7
_cell_length_a 5.5707
_cell_length_b 6.8949
_cell_length_c 9.6698
_cell_angle_alpha 90.00
_cell_angle_beta 91.25
_cell_angle_gamma 90.00
_space_group_name_H-M_alt 'P 1 21/m 1'
_space_group_IT_number 11
loop_
_space_group_symop_operation_xyz
'x,y,z'
'-x,-y,-z'
'-x,y+1/2,-z'
'x,-y+1/2,z'
loop_
_atom_site_label
_atom_site_type_symbol
_atom_site_fract_x
_atom_site_fract_y
_atom_site_fract_z
_atom_site_occupancy
K1 K 0.2492 0.0235 0.2640 1
Co1 Co 0.2199 0.2500 0.8700 1
P1 P 0.2684 0.7500 0.9368 1
C1 C 0.2655 0.2500 0.6111 1
O1 O 0.0573 0.2500 0.6717 1
O2 O 0.1118 0.7500 0.0691 1
O3 O 0.2211 0.5654 0.8500 1
O4 O 0.2920 0.2500 0.4828 1
O5 O 0.4451 0.2500 0.7018 1
O6 O 0.4586 0.2500 0.0137 1
```

Principal peaks in the range 10 to 90 degrees two-theta, sorted by position:
15.8°, rel. 56, hkl 0 1 1; 20.5°, rel. 40, hkl 1 1 0; 24.1°, rel. 49, hkl 1 0 -2; 24.6°, rel. 27, hkl 1 0 2; 31.8°, rel. 100, hkl 1 0 -3; 31.9°, rel. 52, hkl 0 2 2; 32.0°, rel. 53, hkl 1 2 1; 32.1°, rel. 54, hkl 2 0 0; 32.4°, rel. 24, hkl 1 0 3; 40.3°, rel. 30, hkl 0 3 1

Simulated XRD peak list of PaMnPbO5 for Cu Kα X-rays, from a cell relaxed with PBE+U.
Intensities are scaled so that the largest is 100.

Cell and atoms:
```
data_PaMnPbO5
_cell_length_a 6.8255
_cell_length_b 10.0294
_cell_length_c 8.1348
_cell_angle_alpha 90.00
_cell_angle_beta 110.56
_cell_angle_gamma 90.00
_space_group_name_H-M_alt 'C 1 2/c 1'
_space_group_IT_number 15
loop_
_space_group_symop_operation_xyz
'x,y,z'
'-x,-y,-z'
'-x,y,-z+1/2'
'x,-y,z+1/2'
'x+1/2,y+1/2,z'
'-x+1/2,-y+1/2,-z'
'-x+1/2,y+1/2,-z+1/2'
'x+1/2,-y+1/2,z+1/2'
loop_
_atom_site_label
_atom_site_type_symbol
_atom_site_fract_x
_atom_site_fract_y
_atom_site_fract_z
_atom_site_occupancy
Pa1 Pa 0.0000 0.0000 0.0000 1
Mn1 Mn 0.0000 0.3279 0.2500 1
Pb1 Pb 0.0000 0.3320 0.7500 1
O1 O 0.0000 0.0755 0.7500 1
O2 O 0.0719 0.2046 0.0991 1
O3 O 0.1656 0.4581 0.4132 1
```

Principal peaks in the range 10 to 90 degrees two-theta, sorted by position:
17.1°, rel. 24, hkl 1 1 -1; 24.3°, rel. 100, hkl 1 1 -2; 27.9°, rel. 70, hkl 2 0 0; 29.5°, rel. 61, hkl 0 2 2; 30.2°, rel. 91, hkl 1 3 0; 32.6°, rel. 34, hkl 1 1 2; 34.6°, rel. 27, hkl 2 2 -2; 41.6°, rel. 25, hkl 3 1 -2; 50.8°, rel. 27, hkl 3 3 0; 52.8°, rel. 26, hkl 1 3 -4

Q: What is the formula in the second record?
A: PaMnPbO5